1.
Calculated XRD peak list of Ga3Te for a wavelength of 1.5418 Å, from a cell relaxed with PBE.
Intensities are scaled so that the largest is 100.

Crystal structure
Lattice parameters (Å, degrees): 6.394 6.394 5.262 90.00 90.00 120.00
Element x y z (fractional)
1 Ga 0.158 0.317 0.250
2 Ga 0.158 0.842 0.250
3 Ga 0.317 0.158 0.750
4 Ga 0.683 0.842 0.250
5 Ga 0.842 0.158 0.750
6 Ga 0.842 0.683 0.750
7 Te 0.333 0.667 0.750
8 Te 0.667 0.333 0.250

Peak list (12 most intense, 5° ≤ 2θ ≤ 70°, sorted by position)
23.3 deg, 3.814 Å, rel. 10
27.9 deg, 3.197 Å, rel. 3
32.3 deg, 2.769 Å, rel. 23
34.1 deg, 2.631 Å, rel. 28
36.7 deg, 2.450 Å, rel. 100
43.2 deg, 2.093 Å, rel. 2
44.6 deg, 2.032 Å, rel. 2
47.7 deg, 1.907 Å, rel. 16
57.7 deg, 1.599 Å, rel. 17
62.7 deg, 1.482 Å, rel. 20
67.7 deg, 1.384 Å, rel. 3
68.7 deg, 1.366 Å, rel. 20

=====

2.
Calculated XRD peak list of Li5SbS for a wavelength of 1.5418 Å, from a cell relaxed with PBE.
Intensities are scaled so that the largest is 100.

Crystal structure
Lattice parameters (Å, degrees): 4.301 4.301 6.418 90.00 90.00 90.00
Element x y z (fractional)
1 Li 0.000 0.000 0.000
2 Li 0.000 0.500 0.287
3 Li 0.000 0.500 0.713
4 Li 0.500 0.000 0.287
5 Li 0.500 0.000 0.713
6 Sb 0.500 0.500 0.000
7 S 0.000 0.000 0.500

Peak list (12 most intense, 5° ≤ 2θ ≤ 70°, sorted by position)
13.8 deg, 6.418 Å, rel. 31
20.6 deg, 4.301 Å, rel. 22
24.9 deg, 3.573 Å, rel. 100
27.8 deg, 3.209 Å, rel. 17
29.4 deg, 3.042 Å, rel. 28
32.6 deg, 2.749 Å, rel. 21
34.9 deg, 2.572 Å, rel. 13
40.9 deg, 2.208 Å, rel. 37
42.0 deg, 2.151 Å, rel. 17
47.5 deg, 1.915 Å, rel. 16
49.5 deg, 1.843 Å, rel. 29
65.2 deg, 1.430 Å, rel. 12

=====

3.
Calculated XRD peak list of HoZn3 for a wavelength of 1.5418 Å, from a cell relaxed with PBE.
Intensities are scaled so that the largest is 100.

Crystal structure
Lattice parameters (Å, degrees): 6.707 4.367 10.054 90.00 90.00 90.00
Element x y z (fractional)
1 Ho 0.220 0.250 0.162
2 Ho 0.280 0.750 0.662
3 Ho 0.720 0.250 0.338
4 Ho 0.780 0.750 0.838
5 Zn 0.037 0.750 0.396
6 Zn 0.082 0.250 0.852
7 Zn 0.217 0.750 0.957
8 Zn 0.283 0.250 0.457
9 Zn 0.418 0.750 0.352
10 Zn 0.463 0.250 0.896
11 Zn 0.537 0.750 0.104
12 Zn 0.582 0.250 0.648
13 Zn 0.717 0.750 0.543
14 Zn 0.783 0.250 0.043
15 Zn 0.918 0.750 0.148
16 Zn 0.963 0.250 0.604

Peak list (12 most intense, 5° ≤ 2θ ≤ 70°, sorted by position)
22.1 deg, 4.014 Å, rel. 18
25.9 deg, 3.439 Å, rel. 10
26.6 deg, 3.353 Å, rel. 12
34.9 deg, 2.571 Å, rel. 85
35.7 deg, 2.513 Å, rel. 15
36.3 deg, 2.472 Å, rel. 100
38.3 deg, 2.353 Å, rel. 32
41.4 deg, 2.183 Å, rel. 50
43.4 deg, 2.083 Å, rel. 17
44.3 deg, 2.043 Å, rel. 20
57.6 deg, 1.601 Å, rel. 14
62.2 deg, 1.492 Å, rel. 14

=====

4.
Calculated XRD peak list of LaIn4Ni for a wavelength of 1.5418 Å, from a cell relaxed with PBE.
Intensities are scaled so that the largest is 100.

Crystal structure
Lattice parameters (Å, degrees): 8.851 8.851 7.278 90.00 90.00 150.12
Element x y z (fractional)
1 La 0.118 0.882 0.750
2 La 0.882 0.118 0.250
3 In 0.076 0.924 0.250
4 In 0.311 0.689 0.547
5 In 0.311 0.689 0.953
6 In 0.500 0.500 0.000
7 In 0.500 0.500 0.500
8 In 0.689 0.311 0.047
9 In 0.689 0.311 0.453
10 In 0.924 0.076 0.750
11 Ni 0.225 0.775 0.250
12 Ni 0.775 0.225 0.750

Peak list (12 most intense, 5° ≤ 2θ ≤ 70°, sorted by position)
31.9 deg, 2.807 Å, rel. 100
32.3 deg, 2.771 Å, rel. 17
32.7 deg, 2.737 Å, rel. 69
33.8 deg, 2.654 Å, rel. 18
35.0 deg, 2.562 Å, rel. 23
35.3 deg, 2.546 Å, rel. 12
39.5 deg, 2.282 Å, rel. 38
40.2 deg, 2.244 Å, rel. 31
57.6 deg, 1.600 Å, rel. 21
61.2 deg, 1.515 Å, rel. 12
65.6 deg, 1.422 Å, rel. 17
66.9 deg, 1.399 Å, rel. 12

=====

5.
Calculated XRD peak list of Ho3Sb4Au3 for a wavelength of 1.5418 Å, from a cell relaxed with PBE.
Intensities are scaled so that the largest is 100.

Crystal structure
Lattice parameters (Å, degrees): 8.579 8.579 8.579 109.47 109.47 109.47
Element x y z (fractional)
1 Ho 0.125 0.875 0.250
2 Ho 0.250 0.125 0.875
3 Ho 0.375 0.625 0.750
4 Ho 0.625 0.750 0.375
5 Ho 0.750 0.375 0.625
6 Ho 0.875 0.250 0.125
7 Sb 0.000 0.181 0.500
8 Sb 0.000 0.681 0.500
9 Sb 0.181 0.500 0.000
10 Sb 0.319 0.319 0.319
11 Sb 0.500 0.000 0.181
12 Sb 0.500 0.000 0.681
13 Sb 0.681 0.500 0.000
14 Sb 0.819 0.819 0.819
15 Au 0.125 0.750 0.875
16 Au 0.250 0.625 0.375
17 Au 0.375 0.250 0.625
18 Au 0.625 0.375 0.250
19 Au 0.750 0.875 0.125
20 Au 0.875 0.125 0.750

Peak list (12 most intense, 5° ≤ 2θ ≤ 70°, sorted by position)
22.0 deg, 4.044 Å, rel. 20
25.4 deg, 3.502 Å, rel. 12
33.9 deg, 2.647 Å, rel. 100
40.7 deg, 2.215 Å, rel. 49
44.8 deg, 2.022 Å, rel. 13
46.8 deg, 1.943 Å, rel. 10
50.5 deg, 1.809 Å, rel. 18
59.0 deg, 1.566 Å, rel. 10
63.7 deg, 1.461 Å, rel. 11
65.3 deg, 1.430 Å, rel. 12
68.3 deg, 1.374 Å, rel. 11
69.8 deg, 1.348 Å, rel. 11

=====

6.
Calculated XRD peak list of VCN2 for a wavelength of 1.5418 Å, from a cell relaxed with PBE.
Intensities are scaled so that the largest is 100.

Crystal structure
Lattice parameters (Å, degrees): 5.371 5.371 5.371 31.20 31.20 31.20
Element x y z (fractional)
1 V 0.000 0.000 0.000
2 C 0.500 0.500 0.500
3 N 0.419 0.419 0.419
4 N 0.581 0.581 0.581

Peak list (11 most intense, 5° ≤ 2θ ≤ 70°, sorted by position)
17.4 deg, 5.105 Å, rel. 63
35.2 deg, 2.553 Å, rel. 9
36.4 deg, 2.469 Å, rel. 5
37.8 deg, 2.378 Å, rel. 100
43.2 deg, 2.094 Å, rel. 28
46.9 deg, 1.938 Å, rel. 35
53.9 deg, 1.702 Å, rel. 4
55.8 deg, 1.647 Å, rel. 20
60.9 deg, 1.520 Å, rel. 8
64.5 deg, 1.444 Å, rel. 21
67.4 deg, 1.390 Å, rel. 9